Starting from a DFT-relaxed cell (GGA-PBE, the Materials Project), the powder X-ray diffraction pattern of BaMg6Ti was simulated for Cu Kα, 1.54184 Å.

Peak list (12 most intense, 15 to 90 degrees two-theta, sorted by position)
two_theta, Rel. int., index
15.31, 38, 1 0 0
22.78, 56, 1 0 1
26.68, 21, 1 1 0
30.90, 28, 2 0 0
33.91, 25, 0 0 2
35.36, 100, 2 0 1
44.84, 16, 2 1 1
46.53, 18, 2 0 2
54.96, 17, 2 2 0
61.61, 19, 2 0 3
66.16, 19, 2 2 2
67.06, 14, 4 0 1

Cell and atoms:
a = 6.6832 Å, b = 6.6832 Å, c = 5.2878 Å
α = 90.00°, β = 90.00°, γ = 120.00°
Atoms (fractional coordinates):
1 Ba 0.0000 0.0000 0.0000
2 Mg 0.1770 0.3540 0.5000
3 Mg 0.1770 0.8230 0.5000
4 Mg 0.5140 0.0281 0.0000
5 Mg 0.5140 0.4860 0.0000
6 Mg 0.6460 0.8230 0.5000
7 Mg 0.9719 0.4860 0.0000
8 Ti 0.6667 0.3333 0.5000